This entry pairs a crystal structure of HfScS3 with its simulated XRD peak list. Radiation: Cu Kα, 1.54184 Å. Structure: the GGA-PBE geometry in Alexandria.

a b c (Å): 6.3359 6.3359 6.2553
angles (deg): 90.00 90.00 120.00
Fractional positions:
Hf: 0.0000 0.0000 0.0000
Hf: 0.0000 0.0000 0.5000
Sc: 0.3333 0.6667 0.0000
Sc: 0.3333 0.6667 0.5000
S: 0.0150 0.3304 0.2500
S: 0.0150 0.6847 0.7500
S: 0.3153 0.3304 0.7500
S: 0.3153 0.9850 0.2500
S: 0.6696 0.6847 0.2500
S: 0.6696 0.9850 0.7500

The 10 most intense peaks (5° ≤ 2θ ≤ 70°), by angle:
16.2°, I = 100
28.2°, I = 29
32.6°, I = 15
33.0°, I = 32
40.5°, I = 55
43.6°, I = 15
43.9°, I = 17
49.9°, I = 20
53.0°, I = 18
66.1°, I = 12

=====

This entry pairs a crystal structure of Hf2Sc4S9 with its simulated XRD peak list. Radiation: Cu Kα, 1.54184 Å. Structure: the GGA-PBE geometry in Alexandria.

a b c (Å): 6.4153 6.4153 17.7781
angles (deg): 90.00 90.00 120.00
Fractional positions:
Hf: 0.0000 0.0000 0.1600
Hf: 0.0000 0.0000 0.3400
Hf: 0.0000 0.0000 0.6600
Hf: 0.0000 0.0000 0.8400
Sc: 0.3333 0.6667 0.0115
Sc: 0.3333 0.6667 0.3253
Sc: 0.3333 0.6667 0.5115
Sc: 0.3333 0.6667 0.8253
Sc: 0.6667 0.3333 0.1747
Sc: 0.6667 0.3333 0.4885
Sc: 0.6667 0.3333 0.6747
Sc: 0.6667 0.3333 0.9885
S: 0.0000 0.3153 0.2500
S: 0.0000 0.6847 0.7500
S: 0.0218 0.3470 0.9170
S: 0.0218 0.6748 0.4170
S: 0.3153 0.0000 0.2500
S: 0.3153 0.3153 0.7500
S: 0.3252 0.3470 0.4170
S: 0.3252 0.9782 0.9170
S: 0.3470 0.0218 0.5830
S: 0.3470 0.3252 0.0830
S: 0.6530 0.6748 0.9170
S: 0.6530 0.9782 0.4170
S: 0.6748 0.0218 0.0830
S: 0.6748 0.6530 0.5830
S: 0.6847 0.0000 0.7500
S: 0.6847 0.6847 0.2500
S: 0.9782 0.3252 0.5830
S: 0.9782 0.6530 0.0830

The 10 most intense peaks (5° ≤ 2θ ≤ 70°), by angle:
16.0°, I = 88
18.8°, I = 64
25.7°, I = 58
27.8°, I = 51
31.7°, I = 33
34.3°, I = 26
38.2°, I = 25
41.5°, I = 100
47.9°, I = 24
49.2°, I = 46

=====

This entry pairs a crystal structure of Hf2Se3S with its simulated XRD peak list. Radiation: Cu Kα, 1.54184 Å. Structure: the GGA-PBE geometry in Alexandria.

a b c (Å): 7.4747 7.4747 6.8429
angles (deg): 90.00 90.00 120.00
Fractional positions:
Hf: 0.0000 0.0000 0.0000
Hf: 0.0000 0.5000 0.0000
Hf: 0.5000 0.0000 0.0000
Hf: 0.5000 0.5000 0.0000
Se: 0.1662 0.3325 0.7666
Se: 0.1662 0.8338 0.7666
Se: 0.3325 0.1662 0.2334
Se: 0.6675 0.8338 0.7666
Se: 0.8338 0.1662 0.2334
Se: 0.8338 0.6675 0.2334
S: 0.3333 0.6667 0.2014
S: 0.6667 0.3333 0.7986

The 10 most intense peaks (5° ≤ 2θ ≤ 70°), by angle:
12.9°, I = 100
27.6°, I = 16
30.6°, I = 88
38.3°, I = 68
48.7°, I = 28
48.8°, I = 30
50.6°, I = 19
53.6°, I = 6
58.6°, I = 14
63.6°, I = 15

=====

This entry pairs a crystal structure of Hf4Se3S with its simulated XRD peak list. Radiation: Cu Kα, 1.54184 Å. Structure: the GGA-PBE geometry in Alexandria.

a b c (Å): 6.9732 6.0406 8.5860
angles (deg): 90.00 90.00 90.00
Fractional positions:
Hf: 0.0000 0.1580 0.0000
Hf: 0.0000 0.8349 0.4842
Hf: 0.2439 0.6767 0.9988
Hf: 0.2561 0.3233 0.4988
Hf: 0.5000 0.1651 0.9842
Hf: 0.5000 0.8420 0.5000
Hf: 0.7439 0.3233 0.4988
Hf: 0.7561 0.6767 0.9988
Se: 0.0000 0.1588 0.6973
Se: 0.2473 0.6648 0.6952
Se: 0.2527 0.3352 0.1952
Se: 0.5000 0.8412 0.1973
Se: 0.7473 0.3352 0.1952
Se: 0.7527 0.6648 0.6952
S: 0.0000 0.8339 0.1908
S: 0.5000 0.1661 0.6908

The 10 most intense peaks (5° ≤ 2θ ≤ 70°), by angle:
20.7°, I = 35
29.6°, I = 41
31.4°, I = 100
36.4°, I = 13
42.1°, I = 15
43.6°, I = 79
52.5°, I = 33
57.0°, I = 14
62.4°, I = 14
69.5°, I = 20

=====

This entry pairs a crystal structure of Hf2SeS2 with its simulated XRD peak list. Radiation: Cu Kα, 1.54184 Å. Structure: the GGA-PBE geometry in Alexandria.

a b c (Å): 3.6638 5.0429 11.3026
angles (deg): 90.00 90.00 90.00
Fractional positions:
Hf: 0.0000 0.0000 0.1743
Hf: 0.0000 0.0000 0.8257
Hf: 0.5000 0.5000 0.3257
Hf: 0.5000 0.5000 0.6743
Se: 0.0000 0.5000 0.5000
Se: 0.5000 0.0000 0.0000
S: 0.0000 0.5000 0.1633
S: 0.0000 0.5000 0.8367
S: 0.5000 0.0000 0.3367
S: 0.5000 0.0000 0.6633

The 10 most intense peaks (5° ≤ 2θ ≤ 70°), by angle:
15.7°, I = 22
19.3°, I = 46
29.6°, I = 16
30.2°, I = 15
34.1°, I = 100
35.6°, I = 30
43.9°, I = 12
48.3°, I = 12
49.8°, I = 11
50.2°, I = 44

=====

This entry pairs a crystal structure of SrHf4S8 with its simulated XRD peak list. Radiation: Cu Kα, 1.54184 Å. Structure: the GGA-PBE geometry in Alexandria.

a b c (Å): 7.2142 7.2142 9.5989
angles (deg): 123.72 123.72 60.03
Fractional positions:
Sr: 0.0000 0.0000 0.0000
Hf: 0.2557 0.7443 0.5000
Hf: 0.2573 0.2573 0.5109
Hf: 0.7427 0.7427 0.4891
Hf: 0.7443 0.2557 0.5000
S: 0.0131 0.0131 0.6978
S: 0.0146 0.5208 0.7052
S: 0.4792 0.9854 0.2948
S: 0.4803 0.4803 0.2934
S: 0.5197 0.5197 0.7066
S: 0.5208 0.0146 0.7052
S: 0.9854 0.4792 0.2948
S: 0.9869 0.9869 0.3022

The 10 most intense peaks (5° ≤ 2θ ≤ 70°), by angle:
12.0°, I = 100
24.2°, I = 13
28.6°, I = 35
31.0°, I = 20
31.2°, I = 31
37.5°, I = 14
37.6°, I = 16
37.9°, I = 27
46.9°, I = 10
50.6°, I = 19

=====

This entry pairs a crystal structure of HfTa2S5 with its simulated XRD peak list. Radiation: Cu Kα, 1.54184 Å. Structure: the GGA-PBE geometry in Alexandria.

a b c (Å): 9.3963 7.1662 6.9025
angles (deg): 83.79 49.30 46.91
Fractional positions:
Hf: 0.0000 0.0000 0.0000
Ta: 0.3121 0.6879 0.3121
Ta: 0.6879 0.3121 0.6879
S: 0.0483 0.7214 0.2786
S: 0.2786 0.9517 0.0483
S: 0.5000 0.5000 0.5000
S: 0.7214 0.0483 0.9517
S: 0.9517 0.2786 0.7214

The 10 most intense peaks (5° ≤ 2θ ≤ 70°), by angle:
13.1°, I = 100
26.3°, I = 11
29.0°, I = 24
34.6°, I = 34
38.9°, I = 10
41.2°, I = 12
41.7°, I = 6
43.8°, I = 7
44.0°, I = 20
55.6°, I = 6

=====

This entry pairs a crystal structure of Tb3HfS6 with its simulated XRD peak list. Radiation: Cu Kα, 1.54184 Å. Structure: the GGA-PBE geometry in Alexandria.

a b c (Å): 7.8340 7.8340 7.8340
angles (deg): 97.99 97.99 97.99
Fractional positions:
Tb: 0.1235 0.7925 0.6151
Tb: 0.2075 0.3849 0.8765
Tb: 0.3849 0.8765 0.2075
Tb: 0.6151 0.1235 0.7925
Tb: 0.7925 0.6151 0.1235
Tb: 0.8765 0.2075 0.3849
Hf: 0.0000 0.0000 0.0000
Hf: 0.5000 0.5000 0.5000
S: 0.0669 0.6902 0.9257
S: 0.0743 0.9331 0.3098
S: 0.1826 0.4314 0.5358
S: 0.3098 0.0743 0.9331
S: 0.4314 0.5358 0.1826
S: 0.4642 0.8174 0.5686
S: 0.5358 0.1826 0.4314
S: 0.5686 0.4642 0.8174
S: 0.6902 0.9257 0.0669
S: 0.8174 0.5686 0.4642
S: 0.9257 0.0669 0.6902
S: 0.9331 0.3098 0.0743

The 10 most intense peaks (5° ≤ 2θ ≤ 70°), by angle:
17.7°, I = 38
23.2°, I = 48
24.3°, I = 100
26.1°, I = 21
27.7°, I = 89
35.2°, I = 50
39.0°, I = 81
40.4°, I = 52
49.7°, I = 29
52.2°, I = 24

=====

This entry pairs a crystal structure of HfTh2S6 with its simulated XRD peak list. Radiation: Cu Kα, 1.54184 Å. Structure: the GGA-PBE geometry in Alexandria.

a b c (Å): 6.3325 6.3325 12.3097
angles (deg): 90.00 90.00 90.00
Fractional positions:
Hf: 0.0000 0.0000 0.0000
Hf: 0.5000 0.5000 0.5000
Th: 0.0000 0.0000 0.3312
Th: 0.0000 0.0000 0.6688
Th: 0.5000 0.5000 0.1688
Th: 0.5000 0.5000 0.8312
S: 0.1893 0.1893 0.1530
S: 0.1893 0.1893 0.8470
S: 0.2075 0.2075 0.5000
S: 0.2925 0.7075 0.0000
S: 0.3107 0.6893 0.3470
S: 0.3107 0.6893 0.6530
S: 0.6893 0.3107 0.3470
S: 0.6893 0.3107 0.6530
S: 0.7075 0.2925 0.0000
S: 0.7925 0.7925 0.5000
S: 0.8107 0.8107 0.1530
S: 0.8107 0.8107 0.8470

The 10 most intense peaks (5° ≤ 2θ ≤ 70°), by angle:
19.8°, I = 100
25.9°, I = 77
28.2°, I = 22
38.6°, I = 81
40.3°, I = 22
45.3°, I = 19
48.5°, I = 29
48.8°, I = 19
57.0°, I = 15
64.8°, I = 15

=====

This entry pairs a crystal structure of HfTi4S8 with its simulated XRD peak list. Radiation: Cu Kα, 1.54184 Å. Structure: the GGA-PBE geometry in Alexandria.

a b c (Å): 7.1515 7.1515 7.1515
angles (deg): 57.47 57.47 57.47
Fractional positions:
Hf: 0.0000 0.0000 0.0000
Ti: 0.0000 0.0000 0.5000
Ti: 0.0000 0.5000 0.0000
Ti: 0.5000 0.0000 0.0000
Ti: 0.5000 0.5000 0.5000
S: 0.2444 0.2444 0.2444
S: 0.2539 0.2539 0.7446
S: 0.2539 0.7446 0.2539
S: 0.2554 0.7461 0.7461
S: 0.7446 0.2539 0.2539
S: 0.7461 0.2554 0.7461
S: 0.7461 0.7461 0.2554
S: 0.7556 0.7556 0.7556

The 10 most intense peaks (5° ≤ 2θ ≤ 70°), by angle:
15.7°, I = 59
17.9°, I = 45
24.9°, I = 21
25.9°, I = 19
29.2°, I = 17
30.0°, I = 26
36.3°, I = 100
51.2°, I = 34
53.3°, I = 37
66.2°, I = 15

=====

This entry pairs a crystal structure of Hf2TiS5 with its simulated XRD peak list. Radiation: Cu Kα, 1.54184 Å. Structure: the GGA-PBE geometry in Alexandria.

a b c (Å): 6.3150 6.3150 12.0100
angles (deg): 90.00 90.00 133.18
Fractional positions:
Hf: 0.1579 0.8421 0.5525
Hf: 0.1579 0.8421 0.9475
Hf: 0.8421 0.1579 0.0525
Hf: 0.8421 0.1579 0.4475
Ti: 0.2052 0.7948 0.2500
Ti: 0.7948 0.2052 0.7500
S: 0.0477 0.9523 0.1238
S: 0.0477 0.9523 0.3762
S: 0.2563 0.7437 0.7500
S: 0.3383 0.6617 0.0753
S: 0.3383 0.6617 0.4247
S: 0.6617 0.3383 0.5753
S: 0.6617 0.3383 0.9247
S: 0.7437 0.2563 0.2500
S: 0.9523 0.0477 0.6238
S: 0.9523 0.0477 0.8762

The 10 most intense peaks (5° ≤ 2θ ≤ 70°), by angle:
14.8°, I = 90
15.3°, I = 57
19.3°, I = 100
27.1°, I = 87
29.2°, I = 47
29.6°, I = 44
32.8°, I = 40
35.8°, I = 61
38.3°, I = 41
45.4°, I = 42

=====

This entry pairs a crystal structure of HfTiS with its simulated XRD peak list. Radiation: Cu Kα, 1.54184 Å. Structure: the GGA-PBE geometry in Alexandria.

a b c (Å): 3.2942 12.6346 5.1130
angles (deg): 90.00 90.00 90.00
Fractional positions:
Hf: 0.0000 0.1502 0.2500
Hf: 0.0000 0.8498 0.7500
Hf: 0.5000 0.3498 0.7500
Hf: 0.5000 0.6502 0.2500
Ti: 0.0000 0.4546 0.2500
Ti: 0.0000 0.5454 0.7500
Ti: 0.5000 0.0454 0.7500
Ti: 0.5000 0.9546 0.2500
S: 0.0000 0.1893 0.7500
S: 0.0000 0.8107 0.2500
S: 0.5000 0.3107 0.2500
S: 0.5000 0.6893 0.7500

The 10 most intense peaks (5° ≤ 2θ ≤ 70°), by angle:
22.4°, I = 77
28.3°, I = 23
33.1°, I = 67
33.3°, I = 27
34.6°, I = 100
35.1°, I = 60
38.9°, I = 29
46.6°, I = 24
50.1°, I = 68
55.8°, I = 23